(1)
# CeDyHo4Er2
Simulated powder diffractogram, λ = 1.5418 Å (Cu Kα). Input: a crystal structure in Alexandria, relaxed with GGA-PBE.
Peak positions follow from Bragg's law for the DFT cell and can differ from measured ones.

```
CeDyHo4Er2
1.0
4.9810 0.0000 0.0000
0.0000 4.9810 0.0000
0.0000 0.0000 9.9527
Ce Dy Ho Er
1 1 4 2
Cartesian
0.0000 0.0000 0.0000
2.4905 2.4905 4.9763
0.0000 2.4905 2.4791
0.0000 2.4905 7.4736
2.4905 0.0000 2.4791
2.4905 0.0000 7.4736
0.0000 0.0000 4.9763
2.4905 2.4905 0.0000
```

Peak list (5 most intense, 5° ≤ 2θ ≤ 70°, sorted by position)
d (Å)	2θ/deg	intensity
2.875	31.11	100
2.490	36.07	51
1.761	51.94	36
1.501	61.79	43
1.437	64.87	12


(2)
# CeNdDy2Er
Simulated powder diffractogram, λ = 1.5418 Å (Cu Kα). Input: a crystal structure in Alexandria, relaxed with GGA-PBE.
Peak positions follow from Bragg's law for the DFT cell and can differ from measured ones.

```
CeNdDy2Er
1.0
5.8703 0.0000 0.0000
0.0000 7.7662 0.0000
0.0000 0.0000 7.1927
Ce Nd Dy Er
2 2 4 2
Cartesian
0.0000 0.0000 0.0000
2.9352 0.0000 0.0000
1.4676 3.8831 1.1737
4.4028 3.8831 6.0190
1.4676 2.2557 4.8805
1.4676 5.5105 4.8805
4.4028 2.2557 2.3122
4.4028 5.5105 2.3122
1.4676 0.0000 2.7890
4.4028 0.0000 4.4036
```

Peak list (6 most intense, 5° ≤ 2θ ≤ 70°, sorted by position)
d (Å)	2θ/deg	intensity
3.263	27.33	22
2.953	30.27	100
2.935	30.45	25
2.852	31.36	49
2.565	34.98	27
1.874	48.57	22


(3)
# CePmDy4Er2
Simulated powder diffractogram, λ = 1.5418 Å (Cu Kα). Input: a crystal structure in Alexandria, relaxed with GGA-PBE.
Peak positions follow from Bragg's law for the DFT cell and can differ from measured ones.

```
CePmDy4Er2
1.0
5.0183 0.0000 0.0000
0.0000 5.0183 0.0000
0.0000 0.0000 10.0084
Ce Pm Dy Er
1 1 4 2
Cartesian
0.0000 0.0000 0.0000
2.5091 2.5091 5.0042
0.0000 2.5091 2.4762
0.0000 2.5091 7.5322
2.5091 0.0000 2.4762
2.5091 0.0000 7.5322
0.0000 0.0000 5.0042
2.5091 2.5091 0.0000
```

Peak list (6 most intense, 5° ≤ 2θ ≤ 70°, sorted by position)
d (Å)	2θ/deg	intensity
2.895	30.89	100
2.509	35.79	34
2.502	35.89	17
1.773	51.56	36
1.513	61.28	29
1.510	61.42	14


(4)
# CeSm6Dy2Er
Simulated powder diffractogram, λ = 1.5418 Å (Cu Kα). Input: a crystal structure in Alexandria, relaxed with GGA-PBE.
Peak positions follow from Bragg's law for the DFT cell and can differ from measured ones.

```
CeSm6Dy2Er
1.0
5.6945 -3.4650 0.0000
5.6945 3.4650 0.0000
-2.2720 0.0000 8.5360
Ce Sm Dy Er
1 6 2 1
Cartesian
0.0000 0.0000 0.0000
3.2726 1.6372 1.7208
0.4744 0.0000 3.5564
5.8443 1.6372 6.8152
3.2726 -1.6372 1.7208
8.6425 0.0000 4.9796
5.8443 -1.6372 6.8152
2.7853 0.0000 7.0952
6.3317 0.0000 1.4407
4.5585 0.0000 4.2680
```

Peak list (6 most intense, 5° ≤ 2θ ≤ 70°, sorted by position)
d (Å)	2θ/deg	intensity
2.932	30.49	61
2.898	30.86	100
2.843	31.47	85
2.825	31.67	45
2.710	33.06	51
2.690	33.31	48


(5)
# TbCeDy2Er
Simulated powder diffractogram, λ = 1.5418 Å (Cu Kα). Input: a crystal structure in Alexandria, relaxed with GGA-PBE.
Peak positions follow from Bragg's law for the DFT cell and can differ from measured ones.

```
TbCeDy2Er
1.0
5.8495 0.0000 0.0000
0.0000 7.8027 0.0000
0.0000 0.0000 7.0243
Tb Ce Dy Er
2 2 4 2
Cartesian
1.4624 0.0000 1.1266
4.3871 0.0000 5.8977
0.0000 3.9014 0.0000
2.9247 3.9014 0.0000
1.4624 1.5965 4.7990
1.4624 6.2063 4.7990
4.3871 1.5965 2.2253
4.3871 6.2063 2.2253
1.4624 3.9014 2.7803
4.3871 3.9014 4.2440
```

Peak list (6 most intense, 5° ≤ 2θ ≤ 70°, sorted by position)
d (Å)	2θ/deg	intensity
3.203	27.86	26
2.946	30.34	100
2.925	30.57	27
2.809	31.86	52
2.552	35.17	30
2.249	40.09	28


(6)
# Ce2DyErTe5
Simulated powder diffractogram, λ = 1.5418 Å (Cu Kα). Input: a crystal structure in Alexandria, relaxed with GGA-PBE.
Peak positions follow from Bragg's law for the DFT cell and can differ from measured ones.

```
Ce2DyErTe5
1.0
5.4860 0.0000 0.0000
0.0000 5.4860 0.0000
0.0000 0.0000 11.5403
Ce Dy Er Te
2 1 1 5
Cartesian
0.0000 0.0000 2.1034
0.0000 0.0000 9.4369
2.7430 2.7430 5.7702
2.7430 2.7430 0.0000
0.0000 0.0000 5.7702
0.0000 2.7430 0.0000
2.7430 0.0000 0.0000
2.7430 2.7430 2.9383
2.7430 2.7430 8.6020
```

Peak list (6 most intense, 5° ≤ 2θ ≤ 70°, sorted by position)
d (Å)	2θ/deg	intensity
11.540	7.66	52
3.879	22.93	87
2.743	32.65	100
2.731	32.79	49
1.988	45.64	43
1.940	46.84	36


(7)
# Ce2DyEr3Tm6
Simulated powder diffractogram, λ = 1.5418 Å (Cu Kα). Input: a crystal structure in Alexandria, relaxed with GGA-PBE.
Peak positions follow from Bragg's law for the DFT cell and can differ from measured ones.

```
Ce2DyEr3Tm6
1.0
-2.4851 4.9238 7.4579
2.4851 -4.9238 7.4579
2.4851 4.9238 -7.4579
Ce Dy Er Tm
2 1 3 6
Cartesian
0.0000 0.0000 2.4792
0.0000 0.0000 12.4367
0.0000 0.0000 7.4579
2.4851 0.0000 0.0000
2.4851 0.0000 4.9768
0.0000 4.9238 2.4811
2.4851 2.4515 -2.5032
0.0000 2.4466 0.0000
2.4851 2.4515 2.5032
0.0000 2.4722 4.9548
0.0000 7.4009 0.0000
0.0000 2.4722 9.9611
```

Peak list (6 most intense, 5° ≤ 2θ ≤ 70°, sorted by position)
d (Å)	2θ/deg	intensity
2.861	31.27	100
2.486	36.14	34
2.462	36.50	17
1.749	52.30	24
1.498	61.97	29
1.487	62.45	14


(8)
# CeDy2YEr
Simulated powder diffractogram, λ = 1.5418 Å (Cu Kα). Input: a crystal structure in Alexandria, relaxed with GGA-PBE.
Peak positions follow from Bragg's law for the DFT cell and can differ from measured ones.

```
CeDy2YEr
1.0
5.8892 0.0000 0.0000
0.0000 7.9878 0.0000
0.0000 0.0000 6.8254
Ce Dy Y Er
2 4 2 2
Cartesian
0.0000 0.0000 0.0000
2.9446 0.0000 0.0000
1.4723 2.4113 2.1185
1.4723 5.5765 2.1185
4.4169 2.4113 4.7069
4.4169 5.5765 4.7069
1.4723 0.0000 4.0368
4.4169 0.0000 2.7886
1.4723 3.9939 5.7210
4.4169 3.9939 1.1045
```

Peak list (6 most intense, 5° ≤ 2θ ≤ 70°, sorted by position)
d (Å)	2θ/deg	intensity
3.138	28.44	33
2.975	30.04	100
2.948	30.32	47
2.767	32.35	64
2.286	39.42	30
1.641	56.06	39